This entry pairs a crystal structure of Co3BiO8 with its computed PXRD pattern. Radiation: a wavelength of 1.5418 Å. Structure: a crystal structure in the Materials Project, relaxed with GGA+U.
Intensities are scaled so that the largest is 100.

Structure:
```
Co3BiO8
1.0
8.3456 0.0000 0.0000
0.0000 8.3456 0.0000
0.0000 0.0000 8.3456
Co Bi O
12 4 32
Direct
0.1038 0.1462 0.6250 Co
0.1250 0.3962 0.8538 Co
0.1462 0.6250 0.1038 Co
0.3538 0.3750 0.6038 Co
0.3750 0.6038 0.3538 Co
0.3962 0.8538 0.1250 Co
0.6038 0.3538 0.3750 Co
0.6250 0.1038 0.1462 Co
0.6462 0.8750 0.8962 Co
0.8538 0.1250 0.3962 Co
0.8750 0.8962 0.6462 Co
0.8962 0.6462 0.8750 Co
0.1250 0.8750 0.3750 Bi
0.3750 0.1250 0.8750 Bi
0.6250 0.6250 0.6250 Bi
0.8750 0.3750 0.1250 Bi
0.0769 0.1357 0.3984 O
0.1016 0.9231 0.6357 O
0.1143 0.1731 0.8516 O
0.1216 0.6216 0.8784 O
0.1284 0.3716 0.6284 O
0.1357 0.3984 0.0769 O
0.1484 0.6143 0.3269 O
0.1731 0.8516 0.1143 O
0.3269 0.1484 0.6143 O
0.3516 0.3857 0.8269 O
0.3643 0.6016 0.5769 O
0.3716 0.6284 0.1284 O
0.3784 0.3784 0.3784 O
0.3857 0.8269 0.3516 O
0.3984 0.0769 0.1357 O
0.4231 0.8643 0.8984 O
0.5769 0.3643 0.6016 O
0.6016 0.5769 0.3643 O
0.6143 0.3269 0.1484 O
0.6216 0.8784 0.1216 O
0.6284 0.1284 0.3716 O
0.6357 0.1016 0.9231 O
0.6484 0.8857 0.6731 O
0.6731 0.6484 0.8857 O
0.8269 0.3516 0.3857 O
0.8516 0.1143 0.1731 O
0.8643 0.8984 0.4231 O
0.8716 0.8716 0.8716 O
0.8784 0.1216 0.6216 O
0.8857 0.6731 0.6484 O
0.8984 0.4231 0.8643 O
0.9231 0.6357 0.1016 O
```

Peak list (6 most intense, 2θ = 10–90°, in order of falling intensity)
| 2θ/deg | I/Imax | hkl |
| --- | --- | --- |
| 18.4 | 100 | 1 1 1 |
| 35.7 | 44 | 3 1 1 |
| 43.4 | 40 | 4 0 0 |
| 23.8 | 31 | 2 1 0 |
| 37.3 | 27 | 2 2 2 |
| 63.0 | 21 | 4 4 0 |

This entry pairs a crystal structure of Co8Bi5O20 with its computed PXRD pattern. Radiation: a wavelength of 1.5418 Å. Structure: a crystal structure in the Materials Project, relaxed with GGA+U.
Intensities are scaled so that the largest is 100.

Structure:
```
Co8Bi5O20
1.0
7.9354 0.0000 0.0000
-2.3632 7.6234 0.0000
-2.7639 -3.6399 6.9195
Co Bi O
8 5 20
Direct
0.0000 0.0000 0.0000 Co
0.0659 0.3915 0.8965 Co
0.1694 0.3298 0.5124 Co
0.2859 0.1308 0.8055 Co
0.3911 0.8854 0.0559 Co
0.5098 0.8430 0.6783 Co
0.5774 0.2104 0.5600 Co
0.7045 0.8681 0.3785 Co
0.1292 0.7913 0.3142 Bi
0.3817 0.4035 0.2494 Bi
0.6031 0.5722 0.8999 Bi
0.7687 0.2433 0.1193 Bi
0.9348 0.6370 0.6406 Bi
0.0463 0.1471 0.8703 O
0.0780 0.2193 0.2471 O
0.1964 0.6614 0.9978 O
0.2130 0.3555 0.7570 O
0.2824 0.0765 0.0865 O
0.3138 0.1699 0.5368 O
0.3390 0.8865 0.8030 O
0.3983 0.5772 0.6088 O
0.5453 0.3811 0.0552 O
0.5482 0.0010 0.3539 O
0.5755 0.0956 0.7243 O
0.6051 0.8017 0.1193 O
0.6134 0.3919 0.4581 O
0.6249 0.7688 0.5201 O
0.7240 0.9158 0.9056 O
0.8472 0.3710 0.7045 O
0.9261 0.8109 0.4405 O
0.9447 0.7992 0.0698 O
0.9603 0.4582 0.0806 O
0.9917 0.4536 0.4422 O
```

Peak list (6 most intense, 2θ = 10–90°, in order of falling intensity)
| 2θ/deg | I/Imax | hkl |
| --- | --- | --- |
| 30.1 | 100 | -2 1 2 |
| 31.7 | 36 | 1 1 1 |
| 30.9 | 34 | 2 -2 1 |
| 34.8 | 30 | 0 1 -3 |
| 29.9 | 29 | 2 1 -1 |
| 36.1 | 26 | 3 0 -1 |

This entry pairs a crystal structure of CoBiO3 with its computed PXRD pattern. Radiation: a wavelength of 1.5418 Å. Structure: a crystal structure in the Materials Project, relaxed with GGA+U.
Intensities are scaled so that the largest is 100.

Structure:
```
CoBiO3
1.0
3.7508 0.0000 0.0000
0.0000 3.7508 0.0000
0.0000 0.0000 4.8724
Co Bi O
1 1 3
Direct
0.0000 0.0000 0.0000 Co
0.5000 0.5000 0.5772 Bi
0.0000 0.0000 0.3602 O
0.0000 0.5000 0.8460 O
0.5000 0.0000 0.8460 O
```

Peak list (6 most intense, 2θ = 10–90°, in order of falling intensity)
| 2θ/deg | I/Imax | hkl |
| --- | --- | --- |
| 30.1 | 100 | 1 0 1 |
| 33.8 | 35 | 1 1 0 |
| 58.2 | 32 | 2 1 1 |
| 18.2 | 30 | 0 0 1 |
| 50.9 | 24 | 1 1 2 |
| 23.7 | 20 | 1 0 0 |